Starting from a crystal structure in the Materials Project, relaxed with PBE, the XRD peak list of CeGa2Ni was computed for Cu Ka.
No peak broadening, texture or thermal motion is included.

Principal peaks in the range 2θ from 5° to 70°, most intense first:
Position (°2θ), I (rel.), h k l
34.26, 100, 1 3 1
42.40, 38, 1 7 0
29.87, 29, 0 4 1
43.37, 29, 2 0 0
43.87, 28, 0 0 2
30.91, 25, 1 1 1
62.65, 23, 1 7 2
63.39, 18, 2 0 2
37.98, 14, 0 6 1
26.33, 13, 1 3 0

Structure:
Cell lengths 4.173, 17.359, 4.128 Å; angles 90.00, 90.00, 90.00 degrees
Space group Cmmm (No. 65)
Inequivalent atoms, fractional coordinates:
Ce  0.000  0.141  0.000 x4
Ga  0.000  0.000  0.500 x2
Ga  0.000  0.290  0.500 x4
Ga  0.000  0.500  0.000 x2
Ni  0.000  0.427  0.500 x4

***

Starting from a crystal structure in the Materials Project, relaxed with PBE, the XRD peak list of Ce3Ga2Ni2 was computed for Cu Ka.
No peak broadening, texture or thermal motion is included.

Principal peaks in the range 2θ from 5° to 70°, most intense first:
Position (°2θ), I (rel.), h k l
34.62, 100, 1 1 4
36.73, 98, 1 3 0
40.14, 86, 2 1 3
33.61, 66, 2 1 0
30.68, 55, 0 2 3
36.22, 41, 0 2 4
43.42, 33, 0 0 6
28.79, 30, 1 1 3
58.39, 27, 3 2 3
58.14, 25, 1 3 6

Structure:
Cell lengths 5.644, 8.145, 12.505 Å; angles 90.00, 90.00, 90.00 degrees
Space group Pbcm (No. 57)
Inequivalent atoms, fractional coordinates:
Ce  0.142  0.249  0.250 x4
Ce  0.340  0.602  0.093 x8
Ga  0.157  0.250  0.000 x4
Ga  0.359  0.602  0.750 x4
Ni  0.120  0.535  0.590 x8